Simulated powder XRD pattern of Mg6Si5 for CuKα, from a PBE-relaxed structure.
Intensities are scaled so that the largest is 100.

Top 10 peaks for 10° ≤ 2θ ≤ 80°, low angle first:
| d_spacing | 2θ/deg | I_rel | index |
| --- | --- | --- | --- |
| 2.660 | 33.70 | 35 | 1 1 3 |
| 2.594 | 34.58 | 54 | -1 1 4 |
| 2.570 | 34.91 | 38 | 1 -1 4 |
| 2.546 | 35.25 | 44 | 1 -2 2 |
| 2.476 | 36.29 | 100 | 1 1 -5 |
| 2.463 | 36.48 | 41 | -1 2 2 |
| 2.313 | 38.94 | 41 | 1 0 5 |
| 2.234 | 40.37 | 39 | 1 0 -6 |
| 2.187 | 41.29 | 49 | 0 3 -3 |
| 2.072 | 43.69 | 80 | 2 0 -1 |

Structural model:
a b c (Å): 4.1465 6.8625 15.1878
angles (deg): 98.42 95.59 90.79
Sites, in units of the cell vectors:
Mg1 0.0000 0.0000 0.0000
Mg2 0.0037 0.4972 0.0730
Mg3 0.1037 0.8732 0.2112
Mg4 0.1142 0.3265 0.2413
Mg5 0.2655 0.2069 0.5415
Mg6 0.2921 0.7464 0.6113
Mg7 0.3671 0.4237 0.7701
Mg8 0.4050 0.9454 0.8367
Mg9 0.5651 0.1252 0.1323
Mg10 0.6403 0.6344 0.2959
Mg11 0.6559 0.1394 0.3570
Mg12 0.8285 0.0823 0.6911
Si1 0.1903 0.8610 0.3982
Si2 0.1998 0.4849 0.4108
Si3 0.4608 0.2875 0.9731
Si4 0.4743 0.7014 0.9871
Si5 0.7343 0.5397 0.4951
Si6 0.7386 0.9120 0.5018
Si7 0.8078 0.4374 0.6377
Si8 0.8614 0.7237 0.7442
Si9 0.9106 0.2642 0.8757
Si10 0.9318 0.6381 0.8919